This entry pairs a crystal structure of Pr6Ga2Cu with its computed powder diffraction line list. Radiation: Cu Kα. Structure: the PBE geometry in Alexandria.
Intensities are scaled so that the largest is 100.

Main lines, sorted by position (2θ from 15° to 90°):
hkl	d [Å]	intensity
1 1 0	5.257	18
2 0 0	3.717	40
2 1 0	3.325	17
1 1 3	3.050	100
2 2 0	2.628	45
2 1 3	2.486	20
3 0 3	2.067	20
3 1 3	1.991	43
2 2 6	1.525	14
5 2 3	1.295	13

abc: 7.434 7.434 11.237
angles: 90.00 90.00 90.00
Positions (direct):
Pr 0.213 0.213 0.171
Pr 0.213 0.213 0.829
Pr 0.236 0.236 0.500
Pr 0.264 0.736 0.000
Pr 0.287 0.713 0.329
Pr 0.287 0.713 0.671
Pr 0.713 0.287 0.329
Pr 0.713 0.287 0.671
Pr 0.736 0.264 0.000
Pr 0.764 0.764 0.500
Pr 0.787 0.787 0.171
Pr 0.787 0.787 0.829
Ga 0.000 0.000 0.361
Ga 0.000 0.000 0.639
Ga 0.500 0.500 0.139
Ga 0.500 0.500 0.861
Cu 0.000 0.000 0.000
Cu 0.500 0.500 0.500